Simulated powder diffraction line list of Ac3La6Cd for λ = 1.5418 Å (Cu Kα), from DFT lattice parameters and positions (GGA-PBE).
Intensities are scaled so that the largest is 100.

Top 10 peaks for 2θ from 15° to 90°, sorted by position:
(0 1 3), 27.05 deg, d = 3.296 Å, I 18; (1 1 3), 29.08 deg, d = 3.071 Å, I 82; (3 1 -1), 29.38 deg, d = 3.040 Å, I 100; (2 0 -4), 31.69 deg, d = 2.823 Å, I 36; (0 2 0), 31.93 deg, d = 2.803 Å, I 42; (4 0 2), 37.71 deg, d = 2.385 Å, I 17; (2 2 -4), 45.61 deg, d = 1.989 Å, I 26; (4 2 2), 50.22 deg, d = 1.817 Å, I 15; (5 1 -5), 55.21 deg, d = 1.664 Å, I 16; (3 3 -1), 55.34 deg, d = 1.660 Å, I 17

Crystal structure
```
data_Ac3La6Cd
_cell_length_a 11.0181
_cell_length_b 5.6055
_cell_length_c 12.3236
_cell_angle_alpha 90.00
_cell_angle_beta 97.23
_cell_angle_gamma 90.00
_space_group_name_H-M_alt 'P 1 21/m 1'
_space_group_IT_number 11
loop_
_space_group_symop_operation_xyz
'x,y,z'
'-x,-y,-z'
'-x,y+1/2,-z'
'x,-y+1/2,z'
loop_
_atom_site_label
_atom_site_type_symbol
_atom_site_fract_x
_atom_site_fract_y
_atom_site_fract_z
Ac1 Ac 0.0524 0.2500 0.4060
Ac2 Ac 0.1550 0.7500 0.2163
Ac3 Ac 0.2661 0.2500 0.0233
La1 La 0.0531 0.7500 0.9034
La2 La 0.1746 0.2500 0.7131
La3 La 0.2837 0.7500 0.5179
La4 La 0.3591 0.7500 0.8416
La5 La 0.3742 0.2500 0.3216
La6 La 0.4686 0.7500 0.1446
Cd1 Cd 0.4428 0.2500 0.5952
```


Simulated powder diffraction line list of TbMn5Si3 for λ = 1.5418 Å (Cu Kα), from DFT lattice parameters and positions (GGA-PBE).
Intensities are scaled so that the largest is 100.

Top 10 peaks for 2θ from 15° to 90°, sorted by position:
(1 1 1), 25.64 deg, d = 3.475 Å, I 41; (0 2 3), 28.23 deg, d = 3.161 Å, I 34; (0 4 1), 30.55 deg, d = 2.926 Å, I 48; (1 3 0), 32.17 deg, d = 2.782 Å, I 85; (1 1 3), 34.46 deg, d = 2.603 Å, I 100; (1 3 2), 36.09 deg, d = 2.489 Å, I 66; (0 4 3), 38.36 deg, d = 2.347 Å, I 31; (1 1 4), 40.79 deg, d = 2.212 Å, I 71; (1 5 0), 44.16 deg, d = 2.051 Å, I 46; (2 0 0), 47.39 deg, d = 1.918 Å, I 52

Crystal structure
```
data_TbMn5Si3
_cell_length_a 3.8365
_cell_length_b 12.1338
_cell_length_c 11.1102
_cell_angle_alpha 90.00
_cell_angle_beta 90.00
_cell_angle_gamma 90.00
_space_group_name_H-M_alt 'C m c m'
_space_group_IT_number 63
_space_group_name_Hall '-C 2c 2'
loop_
_atom_site_label
_atom_site_type_symbol
_atom_site_fract_x
_atom_site_fract_y
_atom_site_fract_z
Tb1 Tb 0.0000 0.1681 0.2500
Mn1 Mn 0.0000 0.0000 0.0000
Mn2 Mn 0.0000 0.1922 0.5543
Mn3 Mn 0.0000 0.4419 0.1482
Si1 Si 0.0000 0.1229 0.7500
Si2 Si 0.0000 0.3823 0.5558
```


What is the formula in the first record? Ac3La6Cd